1.
The following is a computed XRD peak list of Tb3Er3Sc2. It was derived from a structure optimized by DFT (GGA-PBE), using Cu Ka.
Peak positions follow from Bragg's law for the DFT cell and can differ from measured ones.

Crystal structure
Cell lengths 4.904, 4.920, 9.760 Å; angles 90.00, 90.00, 90.00 degrees
Element x y z (fractional)
Tb  0.000  0.000  0.000
Tb  0.000  0.000  0.500
Tb  0.500  0.500  0.000
Er  0.000  0.500  0.251
Er  0.000  0.500  0.749
Er  0.500  0.500  0.500
Sc  0.500  0.000  0.251
Sc  0.500  0.000  0.749

The 10 most intense peaks (2θ = 10–80°), low angle first:
2theta  d_spacing  Rel. int.
31.62  2.830  100
36.53  2.460  17
36.65  2.452  17
36.84  2.440  17
52.71  1.737  12
52.89  1.731  23
62.70  1.482  14
62.86  1.478  14
63.11  1.473  14
66.03  1.415  12

2.
The following is a computed XRD peak list of CeNdBr5. It was derived from a structure optimized by DFT (GGA-PBE), using Cu Ka.
Peak positions follow from Bragg's law for the DFT cell and can differ from measured ones.

Crystal structure
Cell lengths 8.253, 4.149, 13.777 Å; angles 90.00, 91.45, 90.00 degrees
Element x y z (fractional)
Ce  0.081  0.250  0.156
Ce  0.919  0.750  0.844
Nd  0.421  0.750  0.344
Nd  0.579  0.250  0.656
Br  0.057  0.750  0.317
Br  0.148  0.250  0.931
Br  0.314  0.250  0.487
Br  0.346  0.750  0.129
Br  0.351  0.750  0.719
Br  0.649  0.250  0.281
Br  0.654  0.250  0.871
Br  0.686  0.750  0.513
Br  0.852  0.750  0.069
Br  0.943  0.250  0.683

The 10 most intense peaks (2θ = 10–80°), low angle first:
2theta  d_spacing  Rel. int.
12.37  7.158  100
27.46  3.248  37
30.56  2.925  44
30.83  2.900  29
31.15  2.871  24
33.06  2.710  46
33.41  2.682  29
33.83  2.650  27
40.83  2.210  25
43.63  2.074  30

3.
The following is a computed XRD peak list of ThP4O12. It was derived from a structure optimized by DFT (GGA-PBE), using Cu Ka.
Peak positions follow from Bragg's law for the DFT cell and can differ from measured ones.

Crystal structure
Cell lengths 7.035, 7.035, 13.124 Å; angles 95.31, 95.31, 80.35 degrees
Element x y z (fractional)
Th  0.204  0.796  0.750
Th  0.796  0.204  0.250
P  0.052  0.328  0.748
P  0.067  0.637  0.483
P  0.328  0.052  0.248
P  0.363  0.933  0.017
P  0.637  0.067  0.983
P  0.672  0.948  0.752
P  0.933  0.363  0.517
P  0.948  0.672  0.252
O  0.061  0.703  0.376
O  0.101  0.607  0.182
O  0.121  0.165  0.253
O  0.145  0.404  0.487
O  0.165  0.121  0.753
O  0.165  0.758  0.564
O  0.190  0.471  0.733
O  0.242  0.835  0.936
O  0.297  0.939  0.124
O  0.393  0.899  0.318
O  0.404  0.145  0.987
O  0.471  0.190  0.233
O  0.529  0.810  0.767
O  0.596  0.855  0.013
O  0.607  0.101  0.682
O  0.703  0.061  0.876
O  0.758  0.165  0.064
O  0.810  0.529  0.267
O  0.835  0.242  0.436
O  0.835  0.879  0.247
O  0.855  0.596  0.513
O  0.879  0.835  0.747
O  0.899  0.393  0.818
O  0.939  0.297  0.624

The 10 most intense peaks (2θ = 10–80°), low angle first:
2theta  d_spacing  Rel. int.
12.80  6.914  23
13.59  6.514  46
14.02  6.316  100
19.56  4.538  32
25.06  3.554  27
26.15  3.408  16
27.02  3.300  28
27.38  3.257  22
28.55  3.127  16
35.88  2.503  15